Structure and theoretical powder XRD pattern of Dy7Ag3 (a crystal structure in Alexandria, relaxed with PBE; copper Kα).
Neutral-atom scattering factors, no anomalous dispersion.

Main lines, sorted by position (10° ≤ 2θ ≤ 90°):
2theta, d/Å, Rel. int.
29.97, 2.981, 43
30.50, 2.931, 100
33.84, 2.649, 77
34.95, 2.567, 67
35.56, 2.525, 51
53.54, 1.712, 20
54.09, 1.696, 23
54.42, 1.686, 25

```
Dy7Ag3
1.0
10.0981 0.0000 0.0000
-5.0491 8.7452 0.0000
0.0000 0.0000 6.3429
Dy Ag
14 6
Cartesian
-2.0280 4.6593 0.0000 Dy
0.0000 2.2077 1.7386 Dy
-3.1371 7.6413 1.7386 Dy
1.9119 1.1039 4.9100 Dy
0.0000 5.8301 2.7621 Dy
2.0280 4.6593 0.0000 Dy
0.0000 8.1719 0.0000 Dy
5.0491 0.5733 3.1714 Dy
3.0210 4.0859 3.1714 Dy
5.0491 2.9151 5.9335 Dy
3.1371 7.6413 1.7386 Dy
8.1862 1.1039 4.9100 Dy
5.0491 6.5375 4.9100 Dy
7.0771 4.0859 3.1714 Dy
0.0000 3.4116 4.5659 Ag
-2.0945 7.0394 4.5659 Ag
2.9545 1.7058 1.3945 Ag
2.0945 7.0394 4.5659 Ag
7.1436 1.7058 1.3945 Ag
5.0491 5.3336 1.3945 Ag
```

=====

Structure and theoretical powder XRD pattern of Dy6Ag5 (a crystal structure in Alexandria, relaxed with PBE; copper Kα).
Neutral-atom scattering factors, no anomalous dispersion.

Main lines, sorted by position (10° ≤ 2θ ≤ 90°):
2theta, d/Å, Rel. int.
24.67, 3.609, 10
35.15, 2.553, 100
35.25, 2.546, 20
50.59, 1.804, 21
63.03, 1.475, 21
63.18, 1.472, 21
74.33, 1.276, 9
84.92, 1.142, 9

```
Dy6Ag5
1.0
-2.5560 3.6111 7.6372
2.5560 -3.6111 7.6372
2.5560 3.6111 -7.6372
Dy Ag
6 5
Cartesian
2.5560 1.7911 -2.4974 Dy
0.0000 1.7896 0.0000 Dy
2.5560 1.7911 2.4974 Dy
0.0000 1.8199 5.1398 Dy
0.0000 5.4325 0.0000 Dy
0.0000 1.8199 10.1347 Dy
0.0000 0.0000 2.5863 Ag
2.5560 0.0000 5.0585 Ag
0.0000 0.0000 7.6372 Ag
0.0000 3.6111 2.5787 Ag
0.0000 0.0000 12.6882 Ag
```

=====

Structure and theoretical powder XRD pattern of Dy5Ag6 (a crystal structure in Alexandria, relaxed with PBE; copper Kα).
Neutral-atom scattering factors, no anomalous dispersion.

Main lines, sorted by position (10° ≤ 2θ ≤ 90°):
2theta, d/Å, Rel. int.
35.04, 2.561, 100
35.49, 2.529, 23
35.77, 2.510, 25
49.50, 1.841, 9
51.27, 1.782, 16
63.44, 1.466, 15
63.80, 1.459, 17
74.04, 1.280, 10

```
Dy5Ag6
1.0
-2.5103 3.6828 7.5880
2.5103 -3.6828 7.5880
2.5103 3.6828 -7.5880
Dy Ag
5 6
Cartesian
0.0000 0.0000 0.0000 Dy
2.5103 0.0000 2.5989 Dy
0.0000 0.0000 5.2830 Dy
0.0000 0.0000 9.8930 Dy
0.0000 3.6828 4.9891 Dy
2.5103 -1.9295 4.9507 Ag
2.5103 1.6784 0.0000 Ag
0.0000 1.7533 2.6373 Ag
2.5103 1.9295 4.9507 Ag
0.0000 2.0043 7.5880 Ag
0.0000 5.6122 2.6373 Ag
```

=====

Structure and theoretical powder XRD pattern of Dy4Ag3 (a crystal structure in Alexandria, relaxed with PBE; copper Kα).
Neutral-atom scattering factors, no anomalous dispersion.

Main lines, sorted by position (10° ≤ 2θ ≤ 90°):
2theta, d/Å, Rel. int.
34.40, 2.607, 100
49.44, 1.843, 17
61.51, 1.507, 8
61.65, 1.504, 25
72.44, 1.305, 5
72.59, 1.302, 5
82.73, 1.167, 7
82.84, 1.165, 7

```
Dy4Ag3
1.0
6.8911 3.9786 2.1326
-6.8911 3.9786 2.1326
0.0000 -7.9572 2.1326
Dy Ag
8 6
Cartesian
0.0000 0.0000 0.0000 Dy
-3.8106 -3.3759 3.1729 Dy
-4.8289 1.6122 3.2248 Dy
1.0183 -4.9880 3.2248 Dy
0.0000 0.0000 3.1988 Dy
-1.0183 4.9880 3.1729 Dy
4.8289 -1.6122 3.1729 Dy
3.8106 3.3759 3.2248 Dy
-0.9043 -2.7231 1.9833 Ag
-1.9061 2.1447 1.9833 Ag
-2.8104 -0.5784 4.4144 Ag
2.8104 0.5784 1.9833 Ag
1.9061 -2.1447 4.4144 Ag
0.9043 2.7231 4.4144 Ag
```

=====

Structure and theoretical powder XRD pattern of Dy3Ag5 (a crystal structure in Alexandria, relaxed with PBE; copper Kα).
Neutral-atom scattering factors, no anomalous dispersion.

Main lines, sorted by position (10° ≤ 2θ ≤ 90°):
2theta, d/Å, Rel. int.
33.48, 2.676, 100
36.32, 2.473, 31
36.73, 2.447, 42
41.87, 2.158, 22
47.42, 1.917, 15
56.61, 1.626, 12
61.44, 1.509, 18
71.13, 1.325, 14

```
Dy3Ag5
1.0
7.4747 0.0000 0.0000
-3.7373 6.4732 0.0000
0.0000 0.0000 3.8342
Dy Ag
3 5
Cartesian
-2.3015 3.9863 0.0000 Dy
1.4358 2.4870 0.0000 Dy
4.6030 0.0000 0.0000 Dy
-0.8724 1.5111 1.9171 Ag
1.7448 0.0000 1.9171 Ag
0.0000 4.3155 1.9171 Ag
3.7373 2.1577 1.9171 Ag
2.8649 4.9622 1.9171 Ag
```

=====

Structure and theoretical powder XRD pattern of Dy3ErAg3 (a crystal structure in Alexandria, relaxed with PBE; copper Kα).
Neutral-atom scattering factors, no anomalous dispersion.

Main lines, sorted by position (10° ≤ 2θ ≤ 90°):
2theta, d/Å, Rel. int.
28.44, 3.138, 31
30.99, 2.886, 65
31.63, 2.829, 74
33.64, 2.664, 69
35.40, 2.536, 100
39.70, 2.270, 34
40.33, 2.236, 40
55.20, 1.664, 33

```
Dy3ErAg3
1.0
4.9306 -5.3277 0.0000
4.9306 5.3277 0.0000
-0.1424 0.0000 7.0072
Dy Er Ag
6 2 6
Cartesian
4.9306 3.3909 0.0000 Dy
4.8594 2.5260 3.5036 Dy
3.6522 0.0000 1.0665 Dy
6.0667 0.0000 5.9406 Dy
4.8594 -2.5260 3.5036 Dy
4.9306 -3.3909 0.0000 Dy
2.4390 0.0000 4.5198 Er
7.2799 0.0000 2.4874 Er
2.4425 2.7380 5.4007 Ag
0.6624 0.0000 2.2097 Ag
7.2764 2.7380 1.6065 Ag
2.4425 -2.7380 5.4007 Ag
9.0565 0.0000 4.7975 Ag
7.2764 -2.7380 1.6065 Ag
```

=====

Structure and theoretical powder XRD pattern of Dy3Er4Ag4 (a crystal structure in Alexandria, relaxed with PBE; copper Kα).
Neutral-atom scattering factors, no anomalous dispersion.

Main lines, sorted by position (10° ≤ 2θ ≤ 90°):
2theta, d/Å, Rel. int.
30.41, 2.939, 100
30.90, 2.894, 27
31.36, 2.852, 40
33.72, 2.658, 18
34.53, 2.597, 31
35.94, 2.499, 47
41.71, 2.166, 22
42.16, 2.143, 24

```
Dy3Er4Ag4
1.0
-2.4988 3.7354 7.8463
2.4988 -3.7354 7.8463
2.4988 3.7354 -7.8463
Dy Er Ag
3 4 4
Cartesian
0.0000 0.0000 0.0000 Dy
2.4988 0.0000 6.1944 Dy
0.0000 3.7354 1.6520 Dy
2.4988 1.6542 -2.7536 Er
2.4988 1.6542 2.7536 Er
0.0000 2.0812 5.0928 Er
0.0000 2.0812 10.5999 Er
0.0000 0.0000 3.0830 Ag
2.4988 2.3309 0.0000 Ag
0.0000 1.4045 7.8463 Ag
0.0000 0.0000 12.6097 Ag
```

=====

Structure and theoretical powder XRD pattern of DyErAg6 (a crystal structure in Alexandria, relaxed with PBE; copper Kα).
Neutral-atom scattering factors, no anomalous dispersion.

Main lines, sorted by position (10° ≤ 2θ ≤ 90°):
2theta, d/Å, Rel. int.
35.86, 2.504, 100
40.54, 2.225, 35
43.78, 2.068, 14
58.68, 1.573, 11
61.16, 1.515, 15
70.69, 1.333, 19
70.81, 1.331, 6
75.20, 1.264, 5

```
DyErAg6
1.0
4.6899 -2.2259 0.0000
4.6899 2.2259 0.0000
-4.1966 0.0000 7.8446
Dy Er Ag
1 1 6
Cartesian
0.0000 0.0000 0.0000 Dy
-2.0983 0.0000 3.9223 Er
-1.3207 0.0000 6.8512 Ag
0.7725 0.0000 2.9542 Ag
3.6284 0.0000 1.9675 Ag
1.5548 0.0000 5.8771 Ag
4.4107 0.0000 4.8904 Ag
6.5039 0.0000 0.9934 Ag
```

=====

Structure and theoretical powder XRD pattern of DyEr2Ag3 (a crystal structure in Alexandria, relaxed with PBE; copper Kα).
Neutral-atom scattering factors, no anomalous dispersion.

Main lines, sorted by position (10° ≤ 2θ ≤ 90°):
2theta, d/Å, Rel. int.
35.04, 2.561, 100
35.29, 2.544, 49
50.02, 1.823, 9
50.76, 1.799, 17
62.69, 1.482, 18
63.17, 1.472, 35
74.04, 1.280, 11
84.05, 1.152, 8

```
DyEr2Ag3
1.0
3.5971 0.0000 0.0000
0.0000 3.5971 0.0000
0.0000 0.0000 10.9400
Dy Er Ag
1 2 3
Cartesian
0.0000 0.0000 0.0000 Dy
0.0000 0.0000 3.6586 Er
0.0000 0.0000 7.2814 Er
1.7986 1.7986 1.8570 Ag
1.7986 1.7986 5.4700 Ag
1.7986 1.7986 9.0830 Ag
```

=====

Structure and theoretical powder XRD pattern of Dy3Er2Ag2 (a crystal structure in Alexandria, relaxed with PBE; copper Kα).
Neutral-atom scattering factors, no anomalous dispersion.

Main lines, sorted by position (10° ≤ 2θ ≤ 90°):
2theta, d/Å, Rel. int.
29.15, 3.063, 14
32.79, 2.731, 100
35.43, 2.533, 51
37.15, 2.420, 10
50.98, 1.791, 18
56.79, 1.621, 10
61.95, 1.498, 32
85.76, 1.133, 8

```
Dy3Er2Ag2
1.0
-1.7914 1.7914 14.7670
1.7914 -1.7914 14.7670
1.7914 1.7914 -14.7670
Dy Er Ag
3 2 2
Cartesian
0.0000 0.0000 0.0000 Dy
0.0000 0.0000 3.7032 Dy
0.0000 0.0000 25.8308 Dy
0.0000 0.0000 8.5835 Er
0.0000 0.0000 20.9504 Er
0.0000 0.0000 12.9203 Ag
0.0000 0.0000 16.6137 Ag
```

=====

Structure and theoretical powder XRD pattern of DyEr3Ag (a crystal structure in Alexandria, relaxed with PBE; copper Kα).
Neutral-atom scattering factors, no anomalous dispersion.

Main lines, sorted by position (10° ≤ 2θ ≤ 90°):
2theta, d/Å, Rel. int.
27.20, 3.278, 25
29.82, 2.996, 27
32.53, 2.753, 42
34.81, 2.578, 100
35.30, 2.543, 22
35.44, 2.533, 21
42.90, 2.108, 14
60.42, 1.532, 14

```
DyEr3Ag
1.0
5.5056 -3.6886 0.0000
5.5056 3.6886 0.0000
-2.7874 0.0000 7.1488
Dy Er Ag
2 6 2
Cartesian
-0.0236 0.0000 1.7148 Dy
8.2474 0.0000 5.4340 Dy
2.7330 1.8420 2.5121 Er
5.4907 1.8420 4.6367 Er
2.7346 0.0000 5.4232 Er
5.4891 0.0000 1.7256 Er
2.7330 -1.8420 2.5121 Er
5.4907 -1.8420 4.6367 Er
0.0016 0.0000 7.1480 Ag
8.2221 0.0000 0.0008 Ag
```

=====

Structure and theoretical powder XRD pattern of DyEr2In2Ag2 (a crystal structure in Alexandria, relaxed with PBE; copper Kα).
Neutral-atom scattering factors, no anomalous dispersion.

Main lines, sorted by position (10° ≤ 2θ ≤ 90°):
2theta, d/Å, Rel. int.
31.90, 2.805, 51
34.56, 2.595, 85
37.22, 2.416, 100
51.70, 1.768, 27
65.41, 1.427, 26
65.52, 1.425, 28
67.11, 1.395, 17
89.54, 1.095, 24

```
DyEr2In2Ag2
1.0
2.4159 1.3948 8.8212
-2.4159 1.3948 8.8212
0.0000 -2.7896 8.8212
Dy Er In Ag
1 2 2 2
Cartesian
0.0000 0.0000 0.0000 Dy
0.0000 0.0000 3.3462 Er
0.0000 0.0000 23.1173 Er
0.0000 0.0000 6.8563 In
0.0000 0.0000 19.6072 In
0.0000 0.0000 10.5343 Ag
0.0000 0.0000 15.9292 Ag
```